1.
Diffraction record for Si8HgC18. The X-ray diffraction stick pattern is theoretical, not measured: it uses a GGA-PBE-relaxed structure and Cu Kα, 1.54184 Å.
Lines closer than 0.1° are merged.

Cell lengths 5.5068, 9.1173, 12.6988 Å; angles 85.69, 87.29, 89.00 degrees
Sites, in units of the cell vectors:
1 Si 0.0529 0.0140 0.2995
2 Si 0.0785 0.7200 0.1954
3 Si 0.2919 0.2252 0.2711
4 Si 0.4415 0.1208 0.7852
5 Si 0.5585 0.8792 0.2148
6 Si 0.7081 0.7748 0.7289
7 Si 0.9215 0.2800 0.8046
8 Si 0.9471 0.9860 0.7005
9 Hg 0.0000 0.0000 0.5000
10 C 0.0734 0.3238 0.9259
11 C 0.1783 0.5295 0.2464
12 C 0.2103 0.3991 0.1997
13 C 0.2377 0.4178 0.3206
14 C 0.2394 0.8753 0.2344
15 C 0.2549 0.2733 0.8208
16 C 0.2748 0.9619 0.7398
17 C 0.2913 0.3835 0.9047
18 C 0.3988 0.8369 0.7288
19 C 0.6012 0.1631 0.2712
20 C 0.7087 0.6165 0.0953
21 C 0.7252 0.0381 0.2602
22 C 0.7451 0.7267 0.1792
23 C 0.7606 0.1247 0.7656
24 C 0.7623 0.5822 0.6794
25 C 0.7897 0.6009 0.8003
26 C 0.8217 0.4705 0.7536
27 C 0.9266 0.6762 0.0741

Largest 8 diffraction maxima, low angle first, 5 to 70 degrees two-theta:
2θ (°)  d/Å  I (rel.)
6.99  12.649  52
9.73  9.091  100
11.56  7.657  39
12.41  7.135  75
16.11  5.500  32
17.28  5.131  36
20.25  4.385  46
20.54  4.325  36



2.
Diffraction record for Ho2C. The X-ray diffraction stick pattern is theoretical, not measured: it uses a GGA-PBE-relaxed structure and Cu Kα, 1.54184 Å.
Lines closer than 0.1° are merged.

Cell lengths 6.4341, 6.4341, 6.4341 Å; angles 32.27, 32.27, 32.27 degrees
Sites, in units of the cell vectors:
1 Ho 0.2400 0.2400 0.2400
2 Ho 0.7600 0.7600 0.7600
3 C 0.5000 0.5000 0.5000

Largest 8 diffraction maxima, low angle first, 5 to 70 degrees two-theta:
2θ (°)  d/Å  I (rel.)
29.31  3.047  32
30.48  2.933  100
35.00  2.564  76
49.58  1.839  23
51.09  1.788  27
59.99  1.542  26
60.66  1.527  15
63.43  1.466  13



3.
Diffraction record for Ho4C5. The X-ray diffraction stick pattern is theoretical, not measured: it uses a GGA-PBE-relaxed structure and Cu Kα, 1.54184 Å.
Lines closer than 0.1° are merged.

Cell lengths 6.5462, 11.9154, 3.6441 Å; angles 90.00, 90.00, 90.00 degrees
Sites, in units of the cell vectors:
1 Ho 0.1056 0.1964 0.0000
2 Ho 0.2436 0.9578 0.5000
3 Ho 0.2564 0.4578 0.5000
4 Ho 0.3944 0.6964 0.0000
5 Ho 0.6056 0.3036 0.0000
6 Ho 0.7436 0.5422 0.5000
7 Ho 0.7564 0.0422 0.5000
8 Ho 0.8944 0.8036 0.0000
9 C 0.0000 0.0000 0.0000
10 C 0.0980 0.6556 0.5000
11 C 0.1412 0.7651 0.5000
12 C 0.3588 0.2651 0.5000
13 C 0.4020 0.1556 0.5000
14 C 0.5000 0.5000 0.0000
15 C 0.5980 0.8444 0.5000
16 C 0.6412 0.7349 0.5000
17 C 0.8588 0.2349 0.5000
18 C 0.9020 0.3444 0.5000

Largest 8 diffraction maxima, low angle first, 5 to 70 degrees two-theta:
2θ (°)  d/Å  I (rel.)
28.72  3.109  100
31.18  2.869  36
31.87  2.808  50
33.04  2.711  67
36.91  2.435  36
37.71  2.386  47
54.45  1.685  37
58.20  1.585  36



4.
Diffraction record for Ho7C2I12N. The X-ray diffraction stick pattern is theoretical, not measured: it uses a GGA-PBE-relaxed structure and Cu Kα, 1.54184 Å.
Lines closer than 0.1° are merged.

Cell lengths 9.8634, 10.5554, 16.9370 Å; angles 101.62, 92.89, 112.62 degrees
Sites, in units of the cell vectors:
1 Ho 0.0206 0.4349 0.1794
2 Ho 0.0452 0.2519 0.6904
3 Ho 0.1393 0.4522 0.9808
4 Ho 0.1628 0.5449 0.3858
5 Ho 0.2174 0.7564 0.1501
6 Ho 0.3669 0.8827 0.3557
7 Ho 0.4352 0.5701 0.2368
8 Ho 0.5648 0.4299 0.7632
9 Ho 0.6331 0.1173 0.6443
10 Ho 0.7826 0.2436 0.8499
11 Ho 0.8372 0.4551 0.6142
12 Ho 0.8607 0.5478 0.0192
13 Ho 0.9548 0.7481 0.3096
14 Ho 0.9794 0.5651 0.8206
15 C 0.1365 0.6809 0.2843
16 C 0.2562 0.6385 0.2661
17 C 0.7438 0.3615 0.7339
18 C 0.8635 0.3191 0.7157
19 I 0.0423 0.1442 0.8497
20 I 0.0607 0.7471 0.6967
21 I 0.1070 0.3988 0.5499
22 I 0.1612 0.0271 0.4115
23 I 0.2009 0.8172 0.9699
24 I 0.2284 0.2926 0.1102
25 I 0.2865 0.5296 0.8122
26 I 0.3260 0.1534 0.6643
27 I 0.3755 0.8018 0.5186
28 I 0.4057 0.4300 0.3745
29 I 0.4512 0.0561 0.2317
30 I 0.4693 0.6790 0.0756
31 I 0.5307 0.3210 0.9244
32 I 0.5488 0.9439 0.7683
33 I 0.5943 0.5700 0.6255
34 I 0.6245 0.1982 0.4814
35 I 0.6740 0.8466 0.3357
36 I 0.7135 0.4704 0.1878
37 I 0.7716 0.7074 0.8898
38 I 0.7991 0.1828 0.0301
39 I 0.8388 0.9729 0.5885
40 I 0.8930 0.6012 0.4501
41 I 0.9393 0.2529 0.3033
42 I 0.9577 0.8558 0.1503
43 N 0.0592 0.5487 0.0842
44 N 0.9408 0.4513 0.9158

Largest 8 diffraction maxima, low angle first, 5 to 70 degrees two-theta:
2θ (°)  d/Å  I (rel.)
9.35  9.460  49
9.61  9.206  66
10.49  8.433  57
28.63  3.118  100
29.15  3.064  98
29.20  3.058  90
41.10  2.196  32
41.31  2.185  51



5.
Diffraction record for La4HoC10. The X-ray diffraction stick pattern is theoretical, not measured: it uses a GGA-PBE-relaxed structure and Cu Kα, 1.54184 Å.
Lines closer than 0.1° are merged.

Cell lengths 14.0066, 13.9047, 4.2763 Å; angles 82.54, 79.84, 17.62 degrees
Sites, in units of the cell vectors:
1 La 0.0989 0.0989 0.9011
2 La 0.3004 0.3004 0.6996
3 La 0.6996 0.6996 0.3004
4 La 0.9011 0.9011 0.0989
5 Ho 0.5000 0.5000 0.5000
6 C 0.1000 0.2998 0.7002
7 C 0.1004 0.8996 0.1004
8 C 0.2998 0.1000 0.9000
9 C 0.3051 0.5045 0.4955
10 C 0.4955 0.6949 0.3051
11 C 0.5045 0.3051 0.6949
12 C 0.6949 0.4955 0.5045
13 C 0.7002 0.9000 0.1000
14 C 0.8996 0.1004 0.8996
15 C 0.9000 0.7002 0.2998

Largest 8 diffraction maxima, low angle first, 5 to 70 degrees two-theta:
2θ (°)  d/Å  I (rel.)
26.70  3.339  100
27.44  3.250  34
32.21  2.779  27
32.87  2.725  26
42.81  2.112  20
43.33  2.088  20
48.06  1.893  29
55.02  1.669  34



> Which formula does entry 1 have?

Si8HgC18